1.
Structure and simulated X-ray diffraction stick pattern of PaTiAlRu (a structure optimized by DFT (GGA-PBE); copper Kα).
Lines closer than 0.1° are merged.

Crystal structure
```
PaTiAlRu
1.0
0.000 3.274 3.274
3.274 0.000 3.274
3.274 3.274 0.000
Pa Ti Al Ru
1 1 1 1
Direct
0.000 0.000 0.000
0.750 0.750 0.750
0.500 0.500 0.500
0.250 0.250 0.250
```

The 6 most intense peaks (10° ≤ 2θ ≤ 80°), by intensity:
| two_theta | d (Å) | I (rel.) |
| --- | --- | --- |
| 38.9 | 2.315 | 100 |
| 23.5 | 3.780 | 62 |
| 70.4 | 1.337 | 35 |
| 46.0 | 1.974 | 33 |
| 56.2 | 1.637 | 17 |
| 61.8 | 1.502 | 14 |

=====

2.
Structure and simulated X-ray diffraction stick pattern of Pa6AlS12 (a structure optimized by DFT (GGA-PBE); copper Kα).
Lines closer than 0.1° are merged.

Crystal structure
```
Pa6AlS12
1.0
5.952 3.436 3.615
-5.952 3.436 3.615
0.000 -6.873 3.615
Pa Al S
6 1 12
Direct
0.125 0.631 0.799
0.201 0.875 0.369
0.369 0.201 0.875
0.631 0.799 0.125
0.799 0.125 0.631
0.875 0.369 0.201
0.500 0.500 0.500
0.070 0.929 0.679
0.071 0.321 0.930
0.191 0.537 0.438
0.321 0.930 0.071
0.438 0.191 0.537
0.463 0.562 0.809
0.537 0.438 0.191
0.562 0.809 0.463
0.679 0.070 0.929
0.809 0.463 0.562
0.929 0.679 0.070
0.930 0.071 0.321
```

The 6 most intense peaks (10° ≤ 2θ ≤ 80°), by intensity:
| two_theta | d (Å) | I (rel.) |
| --- | --- | --- |
| 24.3 | 3.667 | 100 |
| 28.2 | 3.164 | 35 |
| 24.6 | 3.615 | 33 |
| 40.5 | 2.225 | 33 |
| 40.1 | 2.250 | 31 |
| 14.9 | 5.952 | 30 |

=====

3.
Structure and simulated X-ray diffraction stick pattern of PaAlS4 (a structure optimized by DFT (GGA-PBE); copper Kα).
Lines closer than 0.1° are merged.

Crystal structure
```
PaAlS4
1.0
7.252 0.000 0.000
0.000 5.965 0.000
-3.175 0.000 6.357
Pa Al S
2 2 8
Direct
0.000 0.000 0.000
0.000 0.500 0.500
0.500 0.000 0.500
0.500 0.500 0.000
0.195 0.217 0.360
0.195 0.283 0.860
0.343 0.731 0.683
0.343 0.769 0.183
0.657 0.231 0.817
0.657 0.269 0.317
0.805 0.717 0.140
0.805 0.783 0.640
```

The 6 most intense peaks (10° ≤ 2θ ≤ 80°), by intensity:
| two_theta | d (Å) | I (rel.) |
| --- | --- | --- |
| 20.8 | 4.266 | 100 |
| 13.6 | 6.488 | 58 |
| 20.4 | 4.350 | 53 |
| 28.0 | 3.190 | 37 |
| 33.0 | 2.712 | 27 |
| 28.9 | 3.093 | 26 |

=====

4.
Structure and simulated X-ray diffraction stick pattern of PaAlTlS4 (a structure optimized by DFT (GGA-PBE); copper Kα).
Lines closer than 0.1° are merged.

Crystal structure
```
PaAlTlS4
1.0
-3.632 4.477 5.385
3.632 -4.477 5.385
3.632 4.477 -5.385
Pa Al Tl S
2 2 2 8
Direct
0.000 0.000 0.000
0.500 0.000 0.500
0.500 0.000 0.000
0.500 0.500 0.500
0.063 0.313 0.750
0.937 0.687 0.250
0.262 0.242 0.479
0.262 0.783 0.021
0.321 0.249 0.072
0.323 0.751 0.572
0.677 0.249 0.428
0.679 0.751 0.928
0.738 0.217 0.979
0.738 0.758 0.521
```

The 6 most intense peaks (10° ≤ 2θ ≤ 80°), by intensity:
| two_theta | d (Å) | I (rel.) |
| --- | --- | --- |
| 27.7 | 3.216 | 100 |
| 24.8 | 3.593 | 93 |
| 35.9 | 2.498 | 55 |
| 14.7 | 6.022 | 45 |
| 24.5 | 3.632 | 44 |
| 25.9 | 3.442 | 38 |